Theoretical X-ray powder pattern of NaMnOs2O8 for Cu Kα (λ = 1.5418 Å), from a crystal structure in Alexandria, relaxed with PBE+U.
Peak positions follow from Bragg's law for the DFT cell and can differ from measured ones.

Peak list (8 most intense, 2θ from 10° to 90°, most intense first)
2θ (°)	intensity
24.4	100
20.8	69
34.2	41
35.3	32
57.1	21
21.7	21
42.4	21
55.5	20

Structural model:
Cell: 5.2490 5.2490 24.5221 Å, 90.00 90.00 120.00°
Space group R32 (No. 155, hexagonal axes)
Unique sites:
Na1 0.0000 0.0000 0.0000 (multiplicity 3)
Mn1 0.0000 0.0000 0.5000 (multiplicity 3)
Os1 0.0000 0.0000 0.2479 (multiplicity 6)
O1 0.0000 0.0000 0.3203 (multiplicity 6)
O2 0.0016 0.3574 0.1090 (multiplicity 18)